No. 1
For U3Al19Ni5, a cell relaxed with GGA-PBE gives the computed PXRD pattern in this record (a wavelength of 1.5418 Å).

Structure:
Cell: 4.066 15.943 27.011 Å, 90.00 90.00 90.00°
Space group Cmcm (No. 63)
Unique sites:
1 U 0.000 0.116 0.250 x4
2 U 0.000 0.333 0.136 x8
3 Al 0.000 0.037 0.602 x8
4 Al 0.000 0.078 0.701 x8
5 Al 0.000 0.093 0.037 x8
6 Al 0.000 0.131 0.136 x8
7 Al 0.000 0.265 0.029 x8
8 Al 0.000 0.276 0.694 x8
9 Al 0.000 0.292 0.589 x8
10 Al 0.000 0.306 0.250 x4
11 Al 0.000 0.432 0.031 x8
12 Al 0.000 0.464 0.674 x8
13 Ni 0.000 0.159 0.542 x8
14 Ni 0.000 0.447 0.584 x8
15 Ni 0.000 0.456 0.250 x4

Most intense lines, 2θ from 10° to 90°, by angle:
| h k l | 2theta | d [Å] | I_rel |
| --- | --- | --- | --- |
| 0 2 3 | 14.84 | 5.968 | 71 |
| 0 2 5 | 19.85 | 4.472 | 50 |
| 1 1 1 | 22.81 | 3.899 | 67 |
| 1 1 4 | 26.19 | 3.403 | 46 |
| 1 3 4 | 30.69 | 2.913 | 91 |
| 1 5 0 | 35.79 | 2.509 | 32 |
| 1 5 1 | 35.95 | 2.498 | 45 |
| 1 1 9 | 37.68 | 2.387 | 100 |
| 1 5 5 | 39.60 | 2.276 | 33 |
| 2 0 0 | 44.57 | 2.033 | 50 |

No. 2
For Zr2CdO4, a cell relaxed with GGA-PBE gives the computed PXRD pattern in this record (a wavelength of 1.5418 Å).

Structure:
Cell: 9.392 9.392 9.392 Å, 90.00 90.00 90.00°
Space group Fd-3m (No. 227, origin choice 2)
Unique sites:
1 Zr 0.000 0.000 0.000 x16
2 Cd 0.125 0.125 0.625 x8
3 O 0.020 0.020 0.230 x32

Most intense lines, 2θ from 10° to 90°, by angle:
| h k l | 2theta | d [Å] | I_rel |
| --- | --- | --- | --- |
| 2 2 0 | 26.85 | 3.321 | 38 |
| 3 1 1 | 31.60 | 2.832 | 100 |
| 2 2 2 | 33.04 | 2.711 | 16 |
| 4 0 0 | 38.34 | 2.348 | 8 |
| 4 2 2 | 47.42 | 1.917 | 14 |
| 5 1 1 | 50.49 | 1.807 | 41 |
| 4 4 0 | 55.33 | 1.660 | 40 |
| 5 3 3 | 65.13 | 1.432 | 12 |
| 6 2 2 | 65.98 | 1.416 | 9 |
| 5 5 3 | 78.17 | 1.223 | 20 |

No. 3
For NiMo4PbN2, a cell relaxed with GGA-PBE gives the computed PXRD pattern in this record (a wavelength of 1.5418 Å).

Structure:
Cell: 3.2653 3.2653 12.2493 Å, 90.00 90.00 120.00°
Space group P-6m2 (No. 187)
Unique sites:
1 Ni 0.0000 0.0000 0.0000 x1
2 Mo 0.0000 0.0000 0.3034 x2
3 Mo 0.3333 0.6667 0.1404 x2
4 Pb 0.3333 0.6667 0.5000 x1
5 N 0.6667 0.3333 0.2323 x2

Most intense lines, 2θ from 10° to 90°, by angle:
| h k l | 2theta | d [Å] | I_rel |
| --- | --- | --- | --- |
| 1 0 0 | 31.64 | 2.828 | 33 |
| 1 0 2 | 34.95 | 2.567 | 25 |
| 0 0 5 | 36.68 | 2.450 | 10 |
| 1 0 3 | 38.73 | 2.325 | 100 |
| 1 0 5 | 49.21 | 1.852 | 10 |
| 1 0 6 | 55.52 | 1.655 | 10 |
| 1 1 0 | 56.35 | 1.633 | 27 |
| 1 0 8 | 69.86 | 1.346 | 11 |
| 2 0 3 | 70.48 | 1.336 | 17 |
| 1 1 6 | 74.40 | 1.275 | 10 |

No. 4
For TbY2B4, a cell relaxed with GGA-PBE gives the computed PXRD pattern in this record (a wavelength of 1.5418 Å).

Structure:
Cell: 6.420 8.593 3.943 Å, 90.00 90.00 90.00°
Space group Cmmm (No. 65)
Unique sites:
1 Tb 0.000 0.000 0.000 x2
2 Y 0.250 0.250 0.500 x4
3 B 0.000 0.334 0.000 x4
4 B 0.000 0.500 0.256 x4

Most intense lines, 2θ from 10° to 90°, by angle:
| h k l | 2theta | d [Å] | I_rel |
| --- | --- | --- | --- |
| 1 1 0 | 17.24 | 5.143 | 59 |
| 1 1 1 | 28.52 | 3.129 | 49 |
| 0 2 1 | 30.78 | 2.905 | 100 |
| 2 2 0 | 34.89 | 2.571 | 79 |
| 2 0 1 | 36.08 | 2.489 | 75 |
| 1 3 1 | 41.42 | 2.180 | 24 |
| 0 4 0 | 42.06 | 2.148 | 23 |
| 2 4 1 | 56.59 | 1.626 | 35 |
| 2 2 2 | 59.04 | 1.565 | 29 |
| 4 2 1 | 66.56 | 1.405 | 21 |

No. 5
For La3Pd4, a cell relaxed with GGA-PBE gives the computed PXRD pattern in this record (a wavelength of 1.5418 Å).

Structure:
Cell: 13.9134 13.9134 5.8595 Å, 90.00 90.00 120.00°
Space group R-3 (No. 148, hexagonal axes)
Unique sites:
1 La 0.0423 0.2098 0.2385 x18
2 Pd 0.0000 0.0000 0.0000 x3
3 Pd 0.0000 0.0000 0.5000 x3
4 Pd 0.0562 0.2761 0.7217 x18

Most intense lines, 2θ from 10° to 90°, by angle:
| h k l | 2theta | d [Å] | I_rel |
| --- | --- | --- | --- |
| 4 -3 1 | 30.80 | 2.903 | 33 |
| 0 1 2 | 31.42 | 2.847 | 10 |
| 1 4 0 | 34.09 | 2.630 | 100 |
| 3 2 1 | 35.92 | 2.500 | 15 |
| 3 -2 2 | 36.47 | 2.464 | 61 |
| 3 1 2 | 40.97 | 2.203 | 17 |
| 4 3 1 | 48.51 | 1.877 | 11 |
| 4 2 2 | 50.78 | 1.798 | 13 |
| 9 -4 1 | 62.22 | 1.492 | 12 |
| 7 -5 3 | 68.38 | 1.372 | 13 |

No. 6
For LiFe3As5, a cell relaxed with GGA-PBE gives the computed PXRD pattern in this record (a wavelength of 1.5418 Å).

Structure:
Cell: 4.9764 4.9764 7.5876 Å, 90.00 90.00 120.00°
Space group P6/mmm (No. 191)
Unique sites:
1 Li 0.0000 0.0000 0.0000 x1
2 Fe 0.0000 0.5000 0.5000 x3
3 As 0.0000 0.0000 0.5000 x1
4 As 0.3333 0.6667 0.2294 x4

Most intense lines, 2θ from 10° to 90°, by angle:
| h k l | 2theta | d [Å] | I_rel |
| --- | --- | --- | --- |
| 0 0 1 | 11.66 | 7.588 | 100 |
| 1 0 0 | 20.61 | 4.310 | 32 |
| 1 0 2 | 31.41 | 2.848 | 37 |
| 0 0 3 | 35.49 | 2.529 | 20 |
| 1 1 0 | 36.10 | 2.488 | 47 |
| 1 1 2 | 43.50 | 2.081 | 38 |
| 2 0 1 | 43.67 | 2.073 | 36 |
| 0 0 4 | 47.96 | 1.897 | 17 |
| 2 0 2 | 48.59 | 1.874 | 60 |
| 1 1 4 | 61.47 | 1.509 | 15 |

No. 7
For CsGdTeO, a cell relaxed with GGA-PBE gives the computed PXRD pattern in this record (a wavelength of 1.5418 Å).

Structure:
Cell: 4.891 9.081 7.236 Å, 90.00 90.00 90.00°
Space group Pmc2_1 (No. 26)
Unique sites:
1 Cs 0.000 0.208 0.000 x2
2 Gd 0.500 0.396 0.421 x2
3 Te 0.000 0.211 0.502 x2
4 O 0.500 0.435 0.126 x2

Most intense lines, 2θ from 10° to 90°, by angle:
| h k l | 2theta | d [Å] | I_rel |
| --- | --- | --- | --- |
| 0 2 0 | 19.55 | 4.540 | 34 |
| 1 1 0 | 20.63 | 4.306 | 87 |
| 0 2 1 | 23.13 | 3.846 | 37 |
| 0 0 2 | 24.60 | 3.618 | 86 |
| 1 2 0 | 26.79 | 3.328 | 83 |
| 1 2 1 | 29.54 | 3.024 | 40 |
| 1 0 2 | 30.74 | 2.909 | 33 |
| 1 1 2 | 32.32 | 2.770 | 33 |
| 2 0 0 | 36.72 | 2.448 | 100 |
| 2 0 2 | 44.73 | 2.026 | 34 |

No. 8
For CuB2C8N8, a cell relaxed with GGA-PBE gives the computed PXRD pattern in this record (a wavelength of 1.5418 Å).

Structure:
Cell: 13.132 7.236 5.995 Å, 90.00 93.28 90.00°
Space group C2/m (No. 12)
Unique sites:
1 Cu 0.000 0.000 0.000 x2
2 B 0.165 0.500 0.353 x4
3 C 0.110 0.323 0.253 x8
4 C 0.161 0.500 0.616 x4
5 C 0.221 0.000 0.715 x4
6 N 0.069 0.193 0.178 x8
7 N 0.136 0.000 0.764 x4
8 N 0.159 0.500 0.809 x4

Most intense lines, 2θ from 10° to 90°, by angle:
| h k l | 2theta | d [Å] | I_rel |
| --- | --- | --- | --- |
| 2 0 0 | 13.51 | 6.555 | 24 |
| 1 1 0 | 13.98 | 6.335 | 43 |
| 0 0 1 | 14.80 | 5.985 | 33 |
| 2 0 -1 | 19.50 | 4.552 | 55 |
| 1 1 1 | 20.69 | 4.293 | 100 |
| 3 1 0 | 23.79 | 3.741 | 62 |
| 0 2 0 | 24.61 | 3.618 | 29 |
| 4 0 -1 | 30.33 | 2.947 | 37 |
| 2 2 1 | 32.34 | 2.768 | 67 |
| 2 2 2 | 42.10 | 2.147 | 25 |

No. 9
For CuAg4, a cell relaxed with GGA-PBE gives the computed PXRD pattern in this record (a wavelength of 1.5418 Å).

Structure:
Cell: 2.878 4.027 14.430 Å, 90.00 90.00 90.00°
Space group Immm (No. 71)
Unique sites:
1 Cu 0.000 0.000 0.000 x2
2 Ag 0.000 0.000 0.197 x4
3 Ag 0.000 0.000 0.405 x4

Most intense lines, 2θ from 10° to 90°, by angle:
| h k l | 2theta | d [Å] | I_rel |
| --- | --- | --- | --- |
| 1 1 0 | 38.41 | 2.344 | 100 |
| 1 0 5 | 44.46 | 2.038 | 32 |
| 0 2 0 | 45.02 | 2.014 | 16 |
| 2 0 0 | 64.79 | 1.439 | 5 |
| 1 2 5 | 65.12 | 1.432 | 19 |
| 1 1 10 | 77.74 | 1.228 | 11 |
| 2 1 5 | 77.88 | 1.227 | 11 |
| 1 3 0 | 78.62 | 1.217 | 11 |
| 0 2 10 | 82.18 | 1.173 | 5 |
| 2 2 0 | 82.37 | 1.171 | 5 |

No. 10
For RbTbSeO, a cell relaxed with GGA-PBE gives the computed PXRD pattern in this record (a wavelength of 1.5418 Å).

Structure:
Cell: 4.588 8.479 6.759 Å, 90.00 90.00 90.00°
Space group Pmc2_1 (No. 26)
Unique sites:
1 Rb 0.000 0.199 0.000 x2
2 Tb 0.500 0.382 0.427 x2
3 Se 0.000 0.207 0.507 x2
4 O 0.500 0.419 0.117 x2

Most intense lines, 2θ from 10° to 90°, by angle:
| h k l | 2theta | d [Å] | I_rel |
| --- | --- | --- | --- |
| 0 1 0 | 10.43 | 8.479 | 56 |
| 0 1 1 | 16.77 | 5.285 | 54 |
| 1 1 0 | 22.03 | 4.035 | 100 |
| 0 2 1 | 24.79 | 3.591 | 59 |
| 1 1 1 | 25.71 | 3.465 | 50 |
| 0 0 2 | 26.37 | 3.379 | 79 |
| 1 2 0 | 28.67 | 3.114 | 42 |
| 1 2 1 | 31.64 | 2.828 | 50 |
| 1 1 2 | 34.62 | 2.591 | 39 |
| 2 0 0 | 39.31 | 2.292 | 68 |

No. 11
For TbHo2Ga3FeGe2, a cell relaxed with GGA-PBE gives the computed PXRD pattern in this record (a wavelength of 1.5418 Å).

Structure:
Cell: 4.140 12.061 6.949 Å, 90.00 90.00 90.00°
Space group Amm2 (No. 38)
Unique sites:
1 Tb 0.000 0.000 0.000 x2
2 Ho 0.000 0.200 0.400 x4
3 Ga 0.500 0.000 0.373 x2
4 Ga 0.500 0.114 0.713 x4
5 Fe 0.000 0.000 0.599 x2
6 Ge 0.500 0.167 0.100 x4

Most intense lines, 2θ from 10° to 90°, by angle:
| h k l | 2theta | d [Å] | I_rel |
| --- | --- | --- | --- |
| 0 3 1 | 25.61 | 3.478 | 18 |
| 1 0 2 | 33.66 | 2.663 | 100 |
| 1 2 2 | 36.91 | 2.436 | 58 |
| 0 5 1 | 39.58 | 2.277 | 36 |
| 2 0 0 | 43.73 | 2.070 | 24 |
| 0 6 0 | 45.15 | 2.008 | 18 |
| 1 5 1 | 45.46 | 1.995 | 12 |
| 1 7 1 | 59.65 | 1.550 | 15 |
| 2 5 1 | 60.44 | 1.532 | 20 |
| 2 6 0 | 64.67 | 1.441 | 12 |